[1]
Diffraction record for CrP2O6. The powder diffraction line list is simulated, not measured: it uses the PBE+U geometry in the Materials Project and copper Kα.

Top 10 peaks for 10 to 80 degrees two-theta, in order of falling intensity:
d [Å]	Position (°2θ)	I/Imax	(hkl)
3.085	28.94	100	2 2 -1
3.050	29.28	48	3 1 0
4.363	20.35	35	1 1 -1
6.705	13.20	33	1 1 0
3.515	25.34	32	1 1 1
4.644	19.11	30	0 2 0
2.486	36.14	27	2 2 1
2.371	37.96	22	0 0 2
2.092	43.25	14	1 1 2
1.573	58.69	14	2 2 -3

Crystal structure
abc: 10.249 9.289 5.015
angles: 90.00 109.04 90.00
Space group C2/c (No. 15)
Asymmetric unit:
Cr (0.000, 0.113, 0.250) [4 per cell]
P (0.213, 0.410, 0.239) [8 per cell]
O (0.130, 0.077, 0.658) [8 per cell]
O (0.149, 0.265, 0.187) [8 per cell]
O (0.154, 0.495, 0.457) [8 per cell]

[2]
Diffraction record for Cr3P4O14. The powder diffraction line list is simulated, not measured: it uses the PBE+U geometry in the Materials Project and copper Kα.

Top 10 peaks for 10 to 80 degrees two-theta, in order of falling intensity:
d [Å]	Position (°2θ)	I/Imax	(hkl)
6.783	13.05	100	0 1 0
3.624	24.57	76	1 -1 1
4.751	18.68	45	0 1 -1
3.346	26.64	34	0 1 2
2.786	32.12	34	2 1 0
2.764	32.39	27	1 2 2
3.429	25.99	17	1 1 2
2.722	32.90	15	1 2 -1
7.296	12.13	13	0 0 1
3.227	27.64	11	1 2 0

Crystal structure
abc: 5.915 7.044 7.639
angles: 80.88 73.58 75.28
Space group P-1 (No. 2)
Asymmetric unit:
Cr (0.000, 0.000, 0.000) [1 per cell]
Cr (0.242, 0.472, 0.332) [2 per cell]
P (0.215, 0.698, 0.686) [2 per cell]
P (0.352, 0.325, 0.920) [2 per cell]
O (0.079, 0.896, 0.746) [2 per cell]
O (0.085, 0.616, 0.567) [2 per cell]
O (0.203, 0.547, 0.868) [2 per cell]
O (0.235, 0.178, 0.877) [2 per cell]
O (0.333, 0.319, 0.124) [2 per cell]
O (0.385, 0.688, 0.198) [2 per cell]
O (0.482, 0.678, 0.581) [2 per cell]

[3]
Diffraction record for Cr3P4O14. The powder diffraction line list is simulated, not measured: it uses the PBE+U geometry in the Materials Project and copper Kα.

Top 10 peaks for 10 to 80 degrees two-theta, in order of falling intensity:
d [Å]	Position (°2θ)	I/Imax	(hkl)
2.991	29.87	100	1 2 -2
6.872	12.88	81	1 0 0
5.142	17.24	77	1 1 -1
3.041	29.37	46	1 2 1
3.092	28.88	36	2 1 -2
5.925	14.95	30	0 1 1
3.218	27.72	23	1 0 2
2.703	33.14	22	2 1 1
3.855	23.07	20	0 1 2
2.557	35.09	17	0 3 1

Crystal structure
abc: 7.359 8.018 9.418
angles: 90.00 110.96 90.00
Space group P2_1/c (No. 14)
Asymmetric unit:
Cr (0.000, 0.000, 0.000) [2 per cell]
Cr (0.195, 0.132, 0.529) [4 per cell]
P (0.110, 0.708, 0.804) [4 per cell]
P (0.398, 0.038, 0.293) [4 per cell]
O (0.004, 0.206, 0.872) [4 per cell]
O (0.029, 0.579, 0.890) [4 per cell]
O (0.126, 0.621, 0.374) [4 per cell]
O (0.264, 0.098, 0.131) [4 per cell]
O (0.319, 0.647, 0.815) [4 per cell]
O (0.372, 0.153, 0.412) [4 per cell]
O (0.392, 0.507, 0.192) [4 per cell]